The following is a computed X-ray diffraction stick pattern of Sm4Cu3Pt. It was derived from a cell relaxed with PBE, using copper Kα.

The 10 most intense peaks (2θ from 15° to 90°), sorted by position:
| two_theta | d [Å] | intensity | hkl |
| --- | --- | --- | --- |
| 31.50 | 2.840 | 100.0 | 1 1 1 |
| 33.86 | 2.648 | 22.9 | 0 0 4 |
| 34.25 | 2.618 | 34.8 | 1 0 3 |
| 39.50 | 2.282 | 22.7 | 0 1 4 |
| 39.84 | 2.263 | 59.7 | 1 1 3 |
| 40.09 | 2.249 | 30.9 | 0 2 0 |
| 46.53 | 1.952 | 20.7 | 2 0 0 |
| 53.73 | 1.706 | 19.7 | 1 2 3 |
| 63.06 | 1.474 | 16.0 | 2 2 0 |
| 80.35 | 1.195 | 15.5 | 1 2 7 |

Structure:
```
data_Sm4Cu3Pt
_chemical_formula_sum 'Sm4 Cu3 Pt1'
_cell_length_a 3.9038
_cell_length_b 4.4979
_cell_length_c 10.5904
_cell_angle_alpha 90.00
_cell_angle_beta 90.00
_cell_angle_gamma 90.00
_space_group_name_H-M_alt 'P 1'
_space_group_IT_number 1
loop_
_space_group_symop_operation_xyz
'x,y,z'
loop_
_atom_site_label
_atom_site_type_symbol
_atom_site_fract_x
_atom_site_fract_y
_atom_site_fract_z
Sm1 Sm 0.0000 0.0000 0.0000
Sm2 Sm 0.0000 0.5000 0.2766
Sm3 Sm 0.5000 0.0000 0.4969
Sm4 Sm 0.5000 0.5000 0.7773
Cu1 Cu 0.0000 0.0000 0.7053
Cu2 Cu 0.0000 0.5000 0.5689
Cu3 Cu 0.5000 0.5000 0.0620
Pt1 Pt 0.5000 0.0000 0.2149
```